Tb2Pr3Tl3: theoretical PXRD pattern (Cu Kα X-rays), based on a GGA-PBE-relaxed structure.
Lines closer than 0.1° are merged.

The 6 most intense peaks (2θ = 10–90°), in order of rising 2θ:
- 2θ 31.37, I = 100.0
- 2θ 33.60, I = 18.8
- 2θ 35.07, I = 19.3
- 2θ 40.18, I = 13.3
- 2θ 49.35, I = 12.8
- 2θ 60.61, I = 15.5

Structural model:
```
Tb2Pr3Tl3
1.0
-2.2442 2.5587 10.6705
2.2442 -2.5587 10.6705
2.2442 2.5587 -10.6705
Tb Pr Tl
2 3 3
Direct
0.2367 0.2367 0.0000
0.7633 0.7633 0.0000
0.0000 0.0000 0.0000
0.3797 0.8797 0.5000
0.6203 0.1203 0.5000
0.1307 0.6307 0.5000
0.5000 0.5000 0.0000
0.8693 0.3693 0.5000
```